Entry 1:
MgGa2O4: computed PXRD pattern (Cu Kα, 1.54184 Å), based on the GGA-PBE geometry in the Materials Project.

Cell: 5.9353 5.9353 19.6527 Å, 98.53 98.53 60.48°
Atoms (fractional coordinates):
Mg (0.0000, 0.0000, 0.0000)
Mg (0.1241, 0.1241, 0.8758)
Mg (0.2233, 0.2233, 0.1552)
Mg (0.2496, 0.2496, 0.7512)
Mg (0.3743, 0.3743, 0.6262)
Mg (0.5011, 0.5011, 0.5023)
Mg (0.7517, 0.7517, 0.2510)
Mg (0.9741, 0.9741, 0.4088)
Ga (0.0009, 0.4947, 0.9996)
Ga (0.0233, 0.0233, 0.5929)
Ga (0.2403, 0.7534, 0.2509)
Ga (0.2498, 0.7493, 0.7511)
Ga (0.2742, 0.2742, 0.3460)
Ga (0.4755, 0.4755, 0.9079)
Ga (0.4947, 0.0009, 0.9996)
Ga (0.5020, 0.9953, 0.5022)
Ga (0.5239, 0.5239, 0.0960)
Ga (0.6256, 0.6256, 0.3796)
Ga (0.7264, 0.7264, 0.6612)
Ga (0.7493, 0.2498, 0.7511)
Ga (0.7534, 0.2403, 0.2509)
Ga (0.7730, 0.7730, 0.8422)
Ga (0.8750, 0.8750, 0.1292)
Ga (0.9953, 0.5020, 0.5022)
O (0.0528, 0.0528, 0.1908)
O (0.0562, 0.5918, 0.1900)
O (0.0594, 0.0594, 0.6925)
O (0.0816, 0.5619, 0.6921)
O (0.1643, 0.6927, 0.0630)
O (0.1862, 0.6694, 0.5605)
O (0.1901, 0.1901, 0.0526)
O (0.1901, 0.1901, 0.5601)
O (0.3104, 0.3104, 0.4436)
O (0.3103, 0.3103, 0.9406)
O (0.3125, 0.8268, 0.9407)
O (0.3464, 0.8053, 0.4416)
O (0.4186, 0.9372, 0.8108)
O (0.4397, 0.4397, 0.8091)
O (0.4422, 0.9147, 0.3130)
O (0.4435, 0.4435, 0.3127)
O (0.5579, 0.5579, 0.6922)
O (0.5597, 0.5597, 0.1943)
O (0.5619, 0.0816, 0.6921)
O (0.5918, 0.0562, 0.1900)
O (0.6694, 0.1862, 0.5605)
O (0.6901, 0.6901, 0.5631)
O (0.6927, 0.1643, 0.0630)
O (0.6938, 0.6938, 0.0629)
O (0.8008, 0.8008, 0.4425)
O (0.8053, 0.3464, 0.4416)
O (0.8086, 0.8086, 0.9432)
O (0.8268, 0.3125, 0.9407)
O (0.9147, 0.4422, 0.3130)
O (0.9372, 0.4186, 0.8108)
O (0.9408, 0.9408, 0.3069)
O (0.9408, 0.9408, 0.8107)

Largest 10 diffraction maxima, in order of rising 2θ, 2θ from 10° to 90°:
Position (°2θ), I/Imax
18.36, 27
30.10, 37
30.20, 22
35.30, 81
35.50, 100
43.01, 21
57.01, 34
62.10, 14
62.51, 27
62.61, 27

Entry 2:
NaMgCu2H2Se2O10: computed PXRD pattern (Cu Kα, 1.54184 Å), based on the GGA-PBE geometry in the Materials Project.

Cell: 5.9917 6.0126 7.7248 Å, 69.01 69.18 61.66°
Atoms (fractional coordinates):
Na (0.0000, 0.0000, 0.0000)
Mg (0.8082, 0.1917, 0.5005)
Cu (0.0652, 0.5253, 0.4841)
Cu (0.4751, 0.9332, 0.5157)
H (0.2273, 0.2283, 0.2743)
H (0.7732, 0.7717, 0.7255)
Se (0.4085, 0.4029, 0.8160)
Se (0.5973, 0.5913, 0.1836)
O (0.1710, 0.1935, 0.4155)
O (0.2728, 0.7041, 0.2201)
O (0.2824, 0.2620, 0.0287)
O (0.2967, 0.7265, 0.7790)
O (0.3609, 0.3248, 0.6420)
O (0.6767, 0.6372, 0.3579)
O (0.7236, 0.2604, 0.2380)
O (0.7370, 0.7182, 0.9707)
O (0.7404, 0.2764, 0.7620)
O (0.8077, 0.8290, 0.5842)

Largest 10 diffraction maxima, in order of rising 2θ, 2θ from 10° to 90°:
Position (°2θ), I/Imax
12.60, 45
17.24, 99
23.65, 42
24.55, 100
26.89, 98
27.28, 77
29.74, 44
29.85, 44
31.76, 70
38.92, 35